# Li4Mn3VO8
Theoretical powder X-ray diffraction pattern, Cu Kα X-rays. Input: a cell relaxed with PBE+U.

Peak list (10 most intense, 10 to 90 degrees two-theta, by angle)
two_theta	d (Å)	I_rel
18.30	4.848	100
35.88	2.503	40
37.50	2.398	11
43.45	2.082	80
47.52	1.913	13
57.28	1.608	14
62.86	1.478	21
63.42	1.467	22
66.62	1.404	14
80.02	1.199	10

Structural model:
Unit cell a=5.914 b=5.914 c=5.914 alpha=59.47 beta=59.47 gamma=59.47
Element x y z (fractional)
Li1 0.000 0.000 0.000
Li2 0.000 0.500 0.500
Li3 0.500 0.000 0.500
Li4 0.500 0.500 0.000
Mn1 0.000 0.000 0.500
Mn2 0.000 0.500 0.000
Mn3 0.500 0.000 0.000
V1 0.500 0.500 0.500
O1 0.237 0.741 0.748
O2 0.242 0.242 0.242
O3 0.252 0.763 0.259
O4 0.259 0.252 0.763
O5 0.741 0.748 0.237
O6 0.748 0.237 0.741
O7 0.758 0.758 0.758
O8 0.763 0.259 0.252